No. 1
Li11Ag4Pd9: calculated powder XRD pattern (Cu Kα (λ = 1.5418 Å)), based on a structure optimized by DFT (PBE).

Top 6 peaks for 10 to 90 degrees two-theta, sorted by position:
- 26.86°, 3.319 Å, I 51.1
- 29.63°, 3.014 Å, I 57.7
- 30.91°, 2.893 Å, I 100.0
- 40.44°, 2.230 Å, I 90.1
- 43.35°, 2.087 Å, I 47.3
- 51.74°, 1.767 Å, I 55.0

Structure:
```
Li11Ag4Pd9
1.0
6.6386 -9.0434 0.0000
6.6386 9.0434 0.0000
0.0000 0.0000 2.8931
Li Ag Pd
11 4 9
Direct
0.0000 0.0000 0.0000 Li
0.0442 0.4065 0.0000 Li
0.1866 0.8134 0.0000 Li
0.1979 0.1979 0.0000 Li
0.3682 0.6318 0.0000 Li
0.4065 0.0442 0.0000 Li
0.5935 0.9558 0.0000 Li
0.6318 0.3682 0.0000 Li
0.8021 0.8021 0.0000 Li
0.8134 0.1866 0.0000 Li
0.9558 0.5935 0.0000 Li
0.2464 0.4079 0.5000 Ag
0.4079 0.2464 0.5000 Ag
0.5921 0.7536 0.5000 Ag
0.7536 0.5921 0.5000 Ag
0.0100 0.2042 0.5000 Pd
0.1568 0.6158 0.5000 Pd
0.2042 0.0100 0.5000 Pd
0.3842 0.8432 0.5000 Pd
0.5000 0.5000 0.5000 Pd
0.6158 0.1568 0.5000 Pd
0.7958 0.9900 0.5000 Pd
0.8432 0.3842 0.5000 Pd
0.9900 0.7958 0.5000 Pd
```

No. 2
SrTlFe2I8: calculated powder XRD pattern (Cu Kα (λ = 1.5418 Å)), based on a structure optimized by DFT (PBE).

Top 6 peaks for 10 to 90 degrees two-theta, sorted by position:
- 24.24°, 3.672 Å, I 29.1
- 25.11°, 3.547 Å, I 100.0
- 28.82°, 3.098 Å, I 76.2
- 40.66°, 2.219 Å, I 34.5
- 41.76°, 2.163 Å, I 40.4
- 48.87°, 1.864 Å, I 25.8

Structure:
```
SrTlFe2I8
1.0
7.4926 0.0000 0.0000
-3.7463 6.4887 0.0000
0.0000 0.0000 11.0160
Sr Tl Fe I
1 1 2 8
Direct
0.0000 0.0000 0.0000 Sr
0.0000 0.0000 0.5000 Tl
0.3333 0.6667 0.2622 Fe
0.6667 0.3333 0.7378 Fe
0.0011 0.6625 0.8078 I
0.3333 0.6667 0.4929 I
0.3375 0.3386 0.8078 I
0.3386 0.0011 0.1922 I
0.6614 0.9989 0.8078 I
0.6625 0.6614 0.1922 I
0.6667 0.3333 0.5071 I
0.9989 0.3375 0.1922 I
```

No. 3
Pr2ThOs9: calculated powder XRD pattern (Cu Kα (λ = 1.5418 Å)), based on a structure optimized by DFT (PBE).

Top 6 peaks for 10 to 90 degrees two-theta, sorted by position:
- 33.23°, 2.696 Å, I 45.3
- 38.27°, 2.352 Å, I 53.1
- 38.65°, 2.330 Å, I 100.0
- 38.89°, 2.316 Å, I 85.0
- 39.46°, 2.284 Å, I 69.8
- 40.99°, 2.202 Å, I 60.1

Structure:
```
Pr2ThOs9
1.0
4.6450 -2.7453 0.0000
4.6450 2.7453 0.0000
-2.9404 0.0000 8.8057
Pr Th Os
2 1 9
Direct
0.1459 0.1459 0.4227 Pr
0.8541 0.8541 0.5773 Pr
0.0000 0.0000 0.0000 Th
0.0641 0.5961 0.2341 Os
0.3632 0.3632 0.0045 Os
0.4039 0.9359 0.7659 Os
0.4205 0.4205 0.7408 Os
0.5000 0.5000 0.5000 Os
0.5795 0.5795 0.2592 Os
0.5961 0.0641 0.2341 Os
0.6368 0.6368 0.9955 Os
0.9359 0.4039 0.7659 Os
```

No. 4
Ba2In3Ag: calculated powder XRD pattern (Cu Kα (λ = 1.5418 Å)), based on a structure optimized by DFT (PBE).

Top 6 peaks for 10 to 90 degrees two-theta, sorted by position:
- 28.28°, 3.155 Å, I 30.8
- 28.80°, 3.100 Å, I 100.0
- 29.33°, 3.045 Å, I 54.6
- 32.98°, 2.716 Å, I 23.3
- 34.61°, 2.591 Å, I 55.9
- 35.03°, 2.562 Å, I 80.0

Structure:
```
Ba2In3Ag
1.0
6.0106 -2.5915 0.0000
6.0106 2.5915 0.0000
-5.7370 0.0000 6.2266
Ba In Ag
2 3 1
Direct
0.0000 0.0000 0.0000 Ba
0.0948 0.0948 0.5994 Ba
0.3750 0.3750 0.1952 In
0.3914 0.3914 0.5834 In
0.7084 0.7084 0.3978 In
0.7120 0.7120 0.0229 Ag
```

No. 5
Tb6Pm8Y: calculated powder XRD pattern (Cu Kα (λ = 1.5418 Å)), based on a structure optimized by DFT (PBE).

Top 6 peaks for 10 to 90 degrees two-theta, sorted by position:
- 25.64°, 3.474 Å, I 23.2
- 28.88°, 3.091 Å, I 34.4
- 29.22°, 3.056 Å, I 23.6
- 31.98°, 2.798 Å, I 100.0
- 32.85°, 2.726 Å, I 23.6
- 33.16°, 2.702 Å, I 62.8

Structure:
```
Tb6Pm8Y
1.0
9.4435 0.0000 0.0000
-4.7217 8.1783 0.0000
0.0000 0.0000 6.5893
Tb Pm Y
6 8 1
Direct
0.0908 0.6558 0.1574 Tb
0.3442 0.4350 0.1574 Tb
0.4350 0.0908 0.8426 Tb
0.5650 0.9092 0.1574 Tb
0.6558 0.5650 0.8426 Tb
0.9092 0.3442 0.8426 Tb
0.0329 0.7469 0.6634 Pm
0.2531 0.2860 0.6634 Pm
0.2860 0.0329 0.3366 Pm
0.3333 0.6667 0.6176 Pm
0.6667 0.3333 0.3824 Pm
0.7140 0.9671 0.6634 Pm
0.7469 0.7140 0.3366 Pm
0.9671 0.2531 0.3366 Pm
0.0000 0.0000 0.0000 Y
```

No. 6
Mg14CrNi: calculated powder XRD pattern (Cu Kα (λ = 1.5418 Å)), based on a structure optimized by DFT (PBE).

Top 6 peaks for 10 to 90 degrees two-theta, sorted by position:
- 33.26°, 2.693 Å, I 25.7
- 35.99°, 2.496 Å, I 25.5
- 37.96°, 2.370 Å, I 100.0
- 59.44°, 1.555 Å, I 16.5
- 66.00°, 1.415 Å, I 17.3
- 71.48°, 1.320 Å, I 17.9

Structure:
```
Mg14CrNi
1.0
6.2200 0.0000 0.0000
-3.1100 5.3867 0.0000
0.0000 0.0000 9.9820
Mg Cr Ni
14 1 1
Direct
0.0000 0.0000 0.2473 Mg
0.0000 0.0000 0.7527 Mg
0.0132 0.5066 0.2591 Mg
0.0132 0.5066 0.7409 Mg
0.3297 0.1648 0.5000 Mg
0.3366 0.1683 0.0000 Mg
0.4934 0.5066 0.2591 Mg
0.4934 0.5066 0.7409 Mg
0.4934 0.9868 0.2591 Mg
0.4934 0.9868 0.7409 Mg
0.8317 0.1683 0.0000 Mg
0.8317 0.6634 0.0000 Mg
0.8352 0.1648 0.5000 Mg
0.8352 0.6703 0.5000 Mg
0.3333 0.6667 0.0000 Cr
0.3333 0.6667 0.5000 Ni
```

No. 7
Rb3As2I9: calculated powder XRD pattern (Cu Kα (λ = 1.5418 Å)), based on a structure optimized by DFT (PBE).

Top 6 peaks for 10 to 90 degrees two-theta, sorted by position:
- 25.52°, 3.491 Å, I 52.3
- 26.37°, 3.379 Å, I 86.1
- 28.07°, 3.179 Å, I 100.0
- 30.30°, 2.950 Å, I 75.5
- 43.92°, 2.061 Å, I 57.6
- 51.48°, 1.775 Å, I 44.0

Structure:
```
Rb3As2I9
1.0
8.2458 0.0000 0.0000
-4.1229 7.1410 0.0000
0.0000 0.0000 20.9448
Rb As I
6 4 18
Direct
0.0000 0.0000 0.2500 Rb
0.0000 0.0000 0.7500 Rb
0.3333 0.6667 0.0689 Rb
0.3333 0.6667 0.4311 Rb
0.6667 0.3333 0.5689 Rb
0.6667 0.3333 0.9311 Rb
0.3333 0.6667 0.6582 As
0.3333 0.6667 0.8418 As
0.6667 0.3333 0.1582 As
0.6667 0.3333 0.3418 As
0.0052 0.5026 0.7500 I
0.1700 0.3401 0.5866 I
0.1700 0.3401 0.9134 I
0.1700 0.8300 0.5866 I
0.1700 0.8300 0.9134 I
0.3401 0.1700 0.0866 I
0.3401 0.1700 0.4134 I
0.4974 0.5026 0.7500 I
0.4974 0.9948 0.7500 I
0.5026 0.0052 0.2500 I
0.5026 0.4974 0.2500 I
0.6599 0.8300 0.5866 I
0.6599 0.8300 0.9134 I
0.8300 0.1700 0.0866 I
0.8300 0.1700 0.4134 I
0.8300 0.6599 0.0866 I
0.8300 0.6599 0.4134 I
0.9948 0.4974 0.2500 I
```

No. 8
Pm3Tl4: calculated powder XRD pattern (Cu Kα (λ = 1.5418 Å)), based on a structure optimized by DFT (PBE).

Top 6 peaks for 10 to 90 degrees two-theta, sorted by position:
- 29.86°, 2.992 Å, I 100.0
- 35.50°, 2.529 Å, I 92.7
- 47.05°, 1.931 Å, I 25.4
- 49.09°, 1.856 Å, I 17.5
- 60.30°, 1.535 Å, I 29.9
- 63.74°, 1.460 Å, I 17.9

Structure:
```
Pm3Tl4
1.0
-4.7312 4.7312 4.7312
4.7312 -4.7312 4.7312
4.7312 4.7312 -4.7312
Pm Tl
6 8
Direct
0.1250 0.8750 0.2500 Pm
0.2500 0.1250 0.8750 Pm
0.3750 0.6250 0.7500 Pm
0.6250 0.7500 0.3750 Pm
0.7500 0.3750 0.6250 Pm
0.8750 0.2500 0.1250 Pm
0.0000 0.1651 0.5000 Tl
0.0000 0.6651 0.5000 Tl
0.1651 0.5000 0.0000 Tl
0.3349 0.3349 0.3349 Tl
0.5000 0.0000 0.1651 Tl
0.5000 0.0000 0.6651 Tl
0.6651 0.5000 0.0000 Tl
0.8349 0.8349 0.8349 Tl
```